Entry 1:
BaSrSi4: theoretical powder diffractogram (Cu Kα (weighted mean of Kα1 and Kα2)), based on a DFT-relaxed cell (GGA-PBE, Alexandria).
Lines closer than 0.1° are merged.

Structural model:
```
data_BaSrSi4
_chemical_formula_sum 'Ba4 Sr4 Si16'
_symmetry_space_group_name_H-M 'P n m a'
_symmetry_Int_Tables_number 62
_cell_length_a 9.1982
_cell_length_b 6.5666
_cell_length_c 11.2089
_cell_angle_alpha 90.00
_cell_angle_beta 90.00
_cell_angle_gamma 90.00
loop_
_symmetry_equiv_pos_as_xyz
'x,y,z'
'-x,-y,-z'
'-x+1/2,-y,z+1/2'
'x+1/2,y,-z+1/2'
'x+1/2,-y+1/2,-z+1/2'
'-x+1/2,y+1/2,z+1/2'
'-x,y+1/2,-z'
'x,-y+1/2,z'
loop_
_atom_site_label
_atom_site_fract_x
_atom_site_fract_y
_atom_site_fract_z
_atom_site_occupancy
Ba1 0.0198 0.2500 0.1852 1
Sr1 0.1408 0.7500 0.4068 1
Si1 0.0956 0.7500 0.0970 1
Si2 0.1856 0.0667 0.6480 1
Si3 0.1970 0.2500 0.4615 1
```

Peak list (10 most intense, 15° ≤ 2θ ≤ 90°, in order of rising 2θ)
2θ/deg	intensity
22.99	100
24.94	83
27.16	58
27.47	44
30.22	42
34.50	31
36.19	26
37.76	33
41.51	32
42.43	42

***

Entry 2:
BaSrSi4: theoretical powder diffractogram (Cu Kα (weighted mean of Kα1 and Kα2)), based on a DFT-relaxed cell (GGA-PBE, Alexandria).
Lines closer than 0.1° are merged.

Structural model:
```
data_BaSrSi4
_chemical_formula_sum 'Ba4 Sr4 Si16'
_symmetry_space_group_name_H-M 'C 2 2 21'
_symmetry_Int_Tables_number 20
_cell_length_a 9.3858
_cell_length_b 9.4687
_cell_length_c 6.6582
_cell_angle_alpha 90.00
_cell_angle_beta 90.00
_cell_angle_gamma 90.00
loop_
_symmetry_equiv_pos_as_xyz
'x,y,z'
'-x,-y,z+1/2'
'x,-y,-z'
'-x,y,-z+1/2'
'x+1/2,y+1/2,z'
'-x+1/2,-y+1/2,z+1/2'
'x+1/2,-y+1/2,-z'
'-x+1/2,y+1/2,-z+1/2'
loop_
_atom_site_label
_atom_site_fract_x
_atom_site_fract_y
_atom_site_fract_z
_atom_site_occupancy
Ba1 0.0000 0.1245 0.2500 1
Sr1 0.1250 0.5000 0.5000 1
Si1 0.1269 0.2095 0.7911 1
Si2 0.2015 0.3771 0.0468 1
```

Peak list (10 most intense, 15° ≤ 2θ ≤ 90°, in order of rising 2θ)
2θ/deg	intensity
18.83	21
29.87	24
29.99	100
30.08	25
32.84	42
33.01	47
45.23	12
51.22	18
51.40	15
55.13	15

***

Entry 3:
BaZnSi: theoretical powder diffractogram (Cu Kα (weighted mean of Kα1 and Kα2)), based on a DFT-relaxed cell (GGA-PBE, Alexandria).
Lines closer than 0.1° are merged.

Structural model:
```
data_BaZnSi
_chemical_formula_sum 'Ba2 Zn2 Si2'
_symmetry_space_group_name_H-M 'P m m m'
_symmetry_Int_Tables_number 47
_cell_length_a 4.3322
_cell_length_b 4.9815
_cell_length_c 7.5835
_cell_angle_alpha 90.00
_cell_angle_beta 90.00
_cell_angle_gamma 90.00
loop_
_symmetry_equiv_pos_as_xyz
'x,y,z'
'-x,-y,-z'
'-x,-y,z'
'x,y,-z'
'x,-y,-z'
'-x,y,z'
'-x,y,-z'
'x,-y,z'
loop_
_atom_site_label
_atom_site_fract_x
_atom_site_fract_y
_atom_site_fract_z
_atom_site_occupancy
Ba1 0.0000 0.0000 0.0000 1
Ba2 0.5000 0.0000 0.5000 1
Zn1 0.0000 0.5000 0.3258 1
Si1 0.5000 0.5000 0.1601 1
```

Peak list (10 most intense, 15° ≤ 2θ ≤ 90°, in order of rising 2θ)
2θ/deg	intensity
23.65	19
29.61	54
29.76	100
36.06	25
41.35	33
41.70	16
51.97	22
56.01	27
56.28	13
60.96	19